Diffraction record for La3NdIn. The powder diffractogram is simulated, not measured: it uses a crystal structure in Alexandria, relaxed with PBE and a wavelength of 1.5418 Å.

Structure:
a = 13.5054 Å, b = 13.5054 Å, c = 4.9815 Å
α = 90.00°, β = 90.00°, γ = 158.74°
Sites, in units of the cell vectors:
La 0.0538 0.9462 0.7500
La 0.2502 0.7498 0.7500
La 0.4428 0.5572 0.7500
La 0.5572 0.4428 0.2500
La 0.7498 0.2502 0.2500
La 0.9462 0.0538 0.2500
Nd 0.3466 0.6534 0.2500
Nd 0.6534 0.3466 0.7500
In 0.1529 0.8471 0.2500
In 0.8471 0.1529 0.7500

Largest 10 diffraction maxima, in order of rising 2θ, 10 to 90 degrees two-theta:
2θ = 30.45°, I = 100.0
2θ = 33.76°, I = 18.0
2θ = 36.06°, I = 32.3
2θ = 50.23°, I = 23.3
2θ = 51.92°, I = 11.3
2θ = 58.35°, I = 13.6
2θ = 61.39°, I = 26.8
2θ = 63.37°, I = 11.5
2θ = 81.86°, I = 10.2
2θ = 84.51°, I = 5.5

=====

Diffraction record for TaCuPd14. The powder diffractogram is simulated, not measured: it uses a crystal structure in Alexandria, relaxed with PBE and a wavelength of 1.5418 Å.

Structure:
a = 5.6240 Å, b = 5.6240 Å, c = 7.7732 Å
α = 90.00°, β = 90.00°, γ = 90.00°
Sites, in units of the cell vectors:
Ta 0.0000 0.0000 0.0000
Cu 0.5000 0.5000 0.0000
Pd 0.0000 0.0000 0.5000
Pd 0.0000 0.5000 0.0000
Pd 0.0000 0.5000 0.5000
Pd 0.2486 0.2486 0.2426
Pd 0.2486 0.2486 0.7574
Pd 0.2486 0.7514 0.2426
Pd 0.2486 0.7514 0.7574
Pd 0.5000 0.0000 0.0000
Pd 0.5000 0.0000 0.5000
Pd 0.5000 0.5000 0.5000
Pd 0.7514 0.2486 0.2426
Pd 0.7514 0.2486 0.7574
Pd 0.7514 0.7514 0.2426
Pd 0.7514 0.7514 0.7574

Largest 10 diffraction maxima, in order of rising 2θ, 10 to 90 degrees two-theta:
2θ = 15.76°, I = 2.1
2θ = 19.48°, I = 2.3
2θ = 39.56°, I = 100.0
2θ = 45.62°, I = 33.2
2θ = 46.74°, I = 15.2
2θ = 66.50°, I = 10.5
2θ = 67.38°, I = 19.9
2θ = 80.23°, I = 24.6
2θ = 81.87°, I = 11.3
2θ = 85.18°, I = 10.5

=====

What did the first record say?
Diffraction record for La3NdIn. The powder diffractogram is simulated, not measured: it uses a crystal structure in Alexandria, relaxed with PBE and a wavelength of 1.5418 Å.

Structure:
a = 13.5054 Å, b = 13.5054 Å, c = 4.9815 Å
α = 90.00°, β = 90.00°, γ = 158.74°
Sites, in units of the cell vectors:
La 0.0538 0.9462 0.7500
La 0.2502 0.7498 0.7500
La 0.4428 0.5572 0.7500
La 0.5572 0.4428 0.2500
La 0.7498 0.2502 0.2500
La 0.9462 0.0538 0.2500
Nd 0.3466 0.6534 0.2500
Nd 0.6534 0.3466 0.7500
In 0.1529 0.8471 0.2500
In 0.8471 0.1529 0.7500

Largest 10 diffraction maxima, in order of rising 2θ, 10 to 90 degrees two-theta:
2θ = 30.45°, I = 100.0
2θ = 33.76°, I = 18.0
2θ = 36.06°, I = 32.3
2θ = 50.23°, I = 23.3
2θ = 51.92°, I = 11.3
2θ = 58.35°, I = 13.6
2θ = 61.39°, I = 26.8
2θ = 63.37°, I = 11.5
2θ = 81.86°, I = 10.2
2θ = 84.51°, I = 5.5